No. 1
Structure and calculated powder X-ray diffraction pattern of Zn5Ga2 (a DFT-relaxed cell (GGA-PBE, Alexandria); copper Kα).

Crystal structure
a b c (Å): 13.6051 13.6051 13.6051
angles (deg): 167.78 167.78 17.31
Atoms (fractional coordinates):
Zn 0.0000 0.0000 0.0000
Zn 0.1339 0.1339 0.0000
Zn 0.4331 0.4331 0.0000
Zn 0.5669 0.5669 0.0000
Zn 0.8661 0.8661 0.0000
Ga 0.2923 0.2923 0.0000
Ga 0.7077 0.7077 0.0000

Most intense lines, 10 to 90 degrees two-theta, by angle:
- 2θ 35.19, rel. 3
- 2θ 38.94, rel. 100
- 2θ 43.51, rel. 5
- 2θ 44.23, rel. 37
- 2θ 47.31, rel. 11
- 2θ 61.31, rel. 2
- 2θ 64.33, rel. 12
- 2θ 66.76, rel. 15
- 2θ 72.78, rel. 3
- 2θ 77.82, rel. 24
- 2θ 82.31, rel. 5
- 2θ 83.62, rel. 8

***

No. 2
Structure and calculated powder X-ray diffraction pattern of Zn3Ga13 (a DFT-relaxed cell (GGA-PBE, Alexandria); copper Kα).

Crystal structure
a b c (Å): 7.3500 7.3500 5.6437
angles (deg): 100.97 100.97 86.19
Atoms (fractional coordinates):
Zn 0.0000 0.0000 0.0000
Zn 0.0012 0.0012 0.5141
Zn 0.2250 0.2250 0.3655
Ga 0.1975 0.7007 0.2372
Ga 0.1983 0.7054 0.7374
Ga 0.2535 0.2535 0.8792
Ga 0.4258 0.9500 0.1017
Ga 0.4276 0.9526 0.6007
Ga 0.4855 0.4855 0.4934
Ga 0.5186 0.5186 0.0078
Ga 0.7007 0.1975 0.2372
Ga 0.7054 0.1983 0.7374
Ga 0.7642 0.7642 0.6442
Ga 0.7801 0.7801 0.1526
Ga 0.9500 0.4258 0.1017
Ga 0.9526 0.4276 0.6007

Most intense lines, 10 to 90 degrees two-theta, by angle:
- 2θ 32.92, rel. 41
- 2θ 34.62, rel. 55
- 2θ 35.76, rel. 100
- 2θ 37.38, rel. 19
- 2θ 37.58, rel. 81
- 2θ 39.12, rel. 66
- 2θ 45.21, rel. 55
- 2θ 45.30, rel. 46
- 2θ 45.54, rel. 18
- 2θ 50.63, rel. 36
- 2θ 75.81, rel. 24
- 2θ 77.62, rel. 19

***

No. 3
Structure and calculated powder X-ray diffraction pattern of Zr2Zn3Ga3 (a DFT-relaxed cell (GGA-PBE, Alexandria); copper Kα).

Crystal structure
a b c (Å): 4.0294 4.0563 8.2595
angles (deg): 90.00 90.00 90.00
Atoms (fractional coordinates):
Zr 0.0000 0.0000 0.2460
Zr 0.0000 0.0000 0.7540
Zn 0.0000 0.5000 0.0000
Zn 0.0000 0.5000 0.5000
Zn 0.5000 0.0000 0.5000
Ga 0.5000 0.0000 0.0000
Ga 0.5000 0.5000 0.2586
Ga 0.5000 0.5000 0.7414

Most intense lines, 10 to 90 degrees two-theta, by angle:
- 2θ 21.52, rel. 1
- 2θ 38.29, rel. 100
- 2θ 43.84, rel. 17
- 2θ 44.68, rel. 16
- 2θ 45.00, rel. 16
- 2θ 64.39, rel. 10
- 2θ 64.64, rel. 10
- 2θ 65.28, rel. 10
- 2θ 76.86, rel. 12
- 2θ 78.06, rel. 11
- 2θ 78.51, rel. 11
- 2θ 81.99, rel. 10

***

No. 4
Structure and calculated powder X-ray diffraction pattern of Zr3Zn2Ga (a DFT-relaxed cell (GGA-PBE, Alexandria); copper Kα).

Crystal structure
a b c (Å): 6.9384 6.9384 3.8817
angles (deg): 90.00 90.00 142.98
Atoms (fractional coordinates):
Zr 0.0000 0.0000 0.0000
Zr 0.3345 0.6655 0.0000
Zr 0.6655 0.3345 0.0000
Zn 0.1702 0.8298 0.5000
Zn 0.8298 0.1702 0.5000
Ga 0.5000 0.5000 0.5000

Most intense lines, 10 to 90 degrees two-theta, by angle:
- 2θ 37.05, rel. 100
- 2θ 40.98, rel. 19
- 2θ 41.16, rel. 18
- 2θ 46.81, rel. 13
- 2θ 59.48, rel. 12
- 2θ 63.93, rel. 10
- 2θ 64.07, rel. 9
- 2θ 72.06, rel. 13
- 2θ 72.31, rel. 13
- 2θ 78.91, rel. 10
- 2θ 80.39, rel. 10
- 2θ 88.86, rel. 2

***

No. 5
Structure and calculated powder X-ray diffraction pattern of Zr6Zn3Ga (a DFT-relaxed cell (GGA-PBE, Alexandria); copper Kα).

Crystal structure
a b c (Å): 8.1877 10.5798 4.7311
angles (deg): 90.00 90.00 90.00
Atoms (fractional coordinates):
Zr 0.0008 0.2484 0.0000
Zr 0.1661 0.5856 0.5000
Zr 0.1670 0.9158 0.5000
Zr 0.3330 0.4158 0.0000
Zr 0.3339 0.0856 0.0000
Zr 0.4992 0.7484 0.5000
Zr 0.5008 0.2516 0.5000
Zr 0.6661 0.9144 0.0000
Zr 0.6670 0.5842 0.0000
Zr 0.8330 0.0842 0.5000
Zr 0.8339 0.4144 0.5000
Zr 0.9992 0.7516 0.0000
Zn 0.0000 0.0000 0.0000
Zn 0.1672 0.2471 0.5000
Zn 0.3328 0.7471 0.0000
Zn 0.5000 0.5000 0.5000
Zn 0.6672 0.2529 0.0000
Zn 0.8328 0.7529 0.5000
Ga 0.0000 0.5000 0.0000
Ga 0.5000 0.0000 0.5000

Most intense lines, 10 to 90 degrees two-theta, by angle:
- 2θ 33.53, rel. 79
- 2θ 38.06, rel. 100
- 2θ 40.60, rel. 30
- 2θ 51.61, rel. 22
- 2θ 51.86, rel. 14
- 2θ 56.86, rel. 15
- 2θ 65.90, rel. 21
- 2θ 66.10, rel. 16
- 2θ 68.76, rel. 16
- 2θ 70.48, rel. 13
- 2θ 81.39, rel. 10
- 2θ 86.05, rel. 5

***

No. 6
Structure and calculated powder X-ray diffraction pattern of Zr2Zn3Ga3 (a DFT-relaxed cell (GGA-PBE, Alexandria); copper Kα).

Crystal structure
a b c (Å): 4.0588 4.1300 8.0519
angles (deg): 90.00 90.00 90.00
Atoms (fractional coordinates):
Zr 0.0000 0.0000 0.2463
Zr 0.0000 0.0000 0.7537
Zn 0.0000 0.5000 0.5000
Zn 0.5000 0.5000 0.2582
Zn 0.5000 0.5000 0.7418
Ga 0.0000 0.5000 0.0000
Ga 0.5000 0.0000 0.0000
Ga 0.5000 0.0000 0.5000

Most intense lines, 10 to 90 degrees two-theta, by angle:
- 2θ 21.52, rel. 1
- 2θ 38.30, rel. 100
- 2θ 43.84, rel. 17
- 2θ 44.65, rel. 16
- 2θ 45.04, rel. 15
- 2θ 64.36, rel. 10
- 2θ 64.66, rel. 10
- 2θ 65.29, rel. 10
- 2θ 76.86, rel. 12
- 2θ 78.02, rel. 11
- 2θ 78.57, rel. 11
- 2θ 81.99, rel. 10

***

No. 7
Structure and calculated powder X-ray diffraction pattern of Zr4ZnGa (a DFT-relaxed cell (GGA-PBE, Alexandria); copper Kα).

Crystal structure
a b c (Å): 6.8890 6.8890 5.1581
angles (deg): 90.00 90.00 90.00
Atoms (fractional coordinates):
Zr 0.1515 0.3470 0.0000
Zr 0.1515 0.6530 0.5000
Zr 0.3470 0.1515 0.5000
Zr 0.3470 0.8485 0.0000
Zr 0.6530 0.1515 0.0000
Zr 0.6530 0.8485 0.5000
Zr 0.8485 0.3470 0.5000
Zr 0.8485 0.6530 0.0000
Zn 0.5000 0.5000 0.2500
Zn 0.5000 0.5000 0.7500
Ga 0.0000 0.0000 0.2500
Ga 0.0000 0.0000 0.7500

Most intense lines, 10 to 90 degrees two-theta, by angle:
- 2θ 33.89, rel. 100
- 2θ 34.79, rel. 7
- 2θ 36.91, rel. 8
- 2θ 39.54, rel. 29
- 2θ 41.45, rel. 43
- 2θ 43.85, rel. 21
- 2θ 58.03, rel. 9
- 2θ 61.79, rel. 17
- 2θ 65.13, rel. 16
- 2θ 68.26, rel. 18
- 2θ 76.76, rel. 13
- 2θ 88.01, rel. 9

***

No. 8
Structure and calculated powder X-ray diffraction pattern of Zr5Ga3 (a DFT-relaxed cell (GGA-PBE, Alexandria); copper Kα).

Crystal structure
a b c (Å): 8.0540 8.0540 8.0540
angles (deg): 126.58 126.58 78.94
Atoms (fractional coordinates):
Zr 0.0000 0.0000 0.0000
Zr 0.0083 0.5083 0.8227
Zr 0.1856 0.0083 0.5000
Zr 0.3144 0.8144 0.8227
Zr 0.4917 0.3144 0.5000
Zr 0.5000 0.5000 0.0000
Zr 0.5083 0.6856 0.5000
Zr 0.6856 0.1856 0.1773
Zr 0.8144 0.9917 0.5000
Zr 0.9917 0.4917 0.1773
Ga 0.1338 0.3662 0.5000
Ga 0.2500 0.2500 0.0000
Ga 0.3662 0.8662 0.2325
Ga 0.6338 0.1338 0.7675
Ga 0.7500 0.7500 0.0000
Ga 0.8662 0.6338 0.5000

Most intense lines, 10 to 90 degrees two-theta, by angle:
- 2θ 33.73, rel. 12
- 2θ 35.05, rel. 10
- 2θ 35.17, rel. 100
- 2θ 38.16, rel. 21
- 2θ 39.35, rel. 49
- 2θ 43.68, rel. 11
- 2θ 56.92, rel. 18
- 2θ 60.23, rel. 10
- 2θ 62.04, rel. 8
- 2θ 71.63, rel. 6
- 2θ 74.13, rel. 17
- 2θ 74.69, rel. 7

***

No. 9
Structure and calculated powder X-ray diffraction pattern of Zr5Ga (a DFT-relaxed cell (GGA-PBE, Alexandria); copper Kα).

Crystal structure
a b c (Å): 3.1887 3.1887 12.9558
angles (deg): 90.00 90.00 90.00
Atoms (fractional coordinates):
Zr 0.0000 0.0000 0.0000
Zr 0.0000 0.0000 0.3521
Zr 0.0000 0.0000 0.6479
Zr 0.5000 0.5000 0.1741
Zr 0.5000 0.5000 0.8259
Ga 0.5000 0.5000 0.5000

Most intense lines, 10 to 90 degrees two-theta, by angle:
- 2θ 31.27, rel. 3
- 2θ 34.98, rel. 100
- 2θ 39.99, rel. 36
- 2θ 41.84, rel. 13
- 2θ 53.90, rel. 3
- 2θ 57.83, rel. 12
- 2θ 59.25, rel. 18
- 2θ 64.54, rel. 3
- 2θ 69.41, rel. 25
- 2θ 71.97, rel. 8
- 2θ 73.89, rel. 9
- 2θ 86.29, rel. 4

***

No. 10
Structure and calculated powder X-ray diffraction pattern of Zr5Ga6 (a DFT-relaxed cell (GGA-PBE, Alexandria); copper Kα).

Crystal structure
a b c (Å): 14.0829 14.0829 3.8678
angles (deg): 90.00 90.00 164.04
Atoms (fractional coordinates):
Zr 0.0000 0.0000 0.0000
Zr 0.1963 0.8037 0.5000
Zr 0.3806 0.6194 0.0000
Zr 0.6194 0.3806 0.0000
Zr 0.8037 0.1963 0.5000
Ga 0.0956 0.9044 0.5000
Ga 0.2796 0.7204 0.0000
Ga 0.4577 0.5423 0.5000
Ga 0.5423 0.4577 0.5000
Ga 0.7204 0.2796 0.0000
Ga 0.9044 0.0956 0.5000

Most intense lines, 10 to 90 degrees two-theta, by angle:
- 2θ 32.09, rel. 13
- 2θ 34.00, rel. 100
- 2θ 34.64, rel. 37
- 2θ 39.83, rel. 17
- 2θ 42.49, rel. 36
- 2θ 44.02, rel. 28
- 2θ 46.44, rel. 25
- 2θ 46.99, rel. 24
- 2θ 59.21, rel. 15
- 2θ 65.19, rel. 19
- 2θ 68.21, rel. 15
- 2θ 83.40, rel. 12

***

No. 11
Structure and calculated powder X-ray diffraction pattern of ZrGa8 (a DFT-relaxed cell (GGA-PBE, Alexandria); copper Kα).

Crystal structure
a b c (Å): 6.8067 6.8067 6.8067
angles (deg): 94.57 94.57 147.20
Atoms (fractional coordinates):
Zr 0.0000 0.0000 0.0000
Ga 0.0000 0.3352 0.3352
Ga 0.0000 0.6648 0.6648
Ga 0.3294 0.3294 0.6587
Ga 0.3294 0.6706 0.0000
Ga 0.3352 0.0000 0.3352
Ga 0.6648 0.0000 0.6648
Ga 0.6706 0.3294 0.0000
Ga 0.6706 0.6706 0.3413

Most intense lines, 10 to 90 degrees two-theta, by angle:
- 2θ 37.43, rel. 100
- 2θ 41.49, rel. 37
- 2θ 47.30, rel. 13
- 2θ 60.12, rel. 12
- 2θ 64.70, rel. 19
- 2θ 73.00, rel. 26
- 2θ 79.84, rel. 10
- 2θ 81.35, rel. 10

***

No. 12
Structure and calculated powder X-ray diffraction pattern of Zr3Ga7 (a DFT-relaxed cell (GGA-PBE, Alexandria); copper Kα).

Crystal structure
a b c (Å): 7.9903 7.9903 5.8140
angles (deg): 99.58 99.58 29.28
Atoms (fractional coordinates):
Zr 0.0000 0.0000 0.0000
Zr 0.1834 0.1834 0.5926
Zr 0.8166 0.8166 0.4074
Ga 0.0000 0.0000 0.5000
Ga 0.2101 0.2101 0.1031
Ga 0.3924 0.3924 0.7194
Ga 0.4070 0.4070 0.2076
Ga 0.5930 0.5930 0.7924
Ga 0.6076 0.6076 0.2806
Ga 0.7899 0.7899 0.8969

Most intense lines, 10 to 90 degrees two-theta, by angle:
- 2θ 36.96, rel. 97
- 2θ 38.14, rel. 100
- 2θ 42.64, rel. 32
- 2θ 43.38, rel. 29
- 2θ 44.88, rel. 31
- 2θ 63.63, rel. 19
- 2θ 64.07, rel. 10
- 2θ 64.18, rel. 17
- 2θ 73.57, rel. 10
- 2θ 75.82, rel. 11
- 2θ 77.51, rel. 10
- 2θ 78.24, rel. 11